For Mn5Si4O14, a crystal structure in Alexandria, relaxed with PBE+U gives the simulated X-ray powder pattern in this record (a wavelength of 1.5418 Å).
Kinematic intensities with the Lorentz-polarization factor, no thermal factor.

Principal peaks in the range 2θ from 5° to 70°, sorted by position:
2θ (°), I_rel, (hkl)
13.5, 100, 1 -1 0
18.3, 29, 1 1 0
24.2, 66, 2 0 0
24.5, 27, 0 2 -2
27.9, 64, 2 1 -1
29.2, 41, 1 0 -3
33.1, 51, 1 -3 2
34.0, 32, -2 2 2
34.7, 21, 1 0 3
36.5, 19, 0 3 1

Crystal structure
```
data_Mn5Si4O14
_chemical_formula_sum 'Mn10 Si8 O28'
_cell_length_a 7.815
_cell_length_b 8.971
_cell_length_c 9.594
_cell_angle_alpha 103.70
_cell_angle_beta 99.62
_cell_angle_gamma 103.99
_symmetry_space_group_name_H-M 'P -1'
_symmetry_Int_Tables_number 2
loop_
_symmetry_equiv_pos_as_xyz
'x,y,z'
'-x,-y,-z'
loop_
_atom_site_label
_atom_site_type_symbol
_atom_site_fract_x
_atom_site_fract_y
_atom_site_fract_z
Mn1 Mn 0.134 0.075 0.277
Mn2 Mn 0.226 0.309 0.596
Mn3 Mn 0.244 0.197 0.900
Mn4 Mn 0.270 0.764 0.261
Mn5 Mn 0.365 0.428 0.231
Si1 Si 0.090 0.818 0.950
Si2 Si 0.214 0.931 0.582
Si3 Si 0.304 0.581 0.937
Si4 Si 0.424 0.691 0.570
O1 O 0.004 0.834 0.567
O2 O 0.130 0.969 0.879
O3 O 0.134 0.245 0.079
O4 O 0.165 0.673 0.870
O5 O 0.181 0.877 0.130
O6 O 0.225 0.389 0.837
O7 O 0.236 0.930 0.412
O8 O 0.272 0.120 0.688
O9 O 0.288 0.593 0.110
O10 O 0.342 0.642 0.388
O11 O 0.353 0.269 0.392
O12 O 0.360 0.541 0.634
O13 O 0.363 0.847 0.648
O14 O 0.485 0.331 0.057
```